For Ce2Sb4Ir3, a PBE-relaxed structure gives the theoretical XRD peak list in this record (a wavelength of 1.5418 Å).
Peak positions follow from Bragg's law for the DFT cell and can differ from measured ones.

Cell and atoms:
abc: 16.3063 4.5681 10.9667
angles: 90.00 90.00 90.00
Space group Pnma (No. 62)
Asymmetric unit:
Ce: 0.0052 0.2500 0.2451 x4
Ce: 0.2503 0.2500 0.0888 x4
Sb: 0.0680 0.7500 0.4463 x4
Sb: 0.1061 0.7500 0.0629 x4
Sb: 0.1503 0.2500 0.7743 x4
Sb: 0.2117 0.2500 0.3880 x4
Ir: 0.0562 0.2500 0.9677 x4
Ir: 0.0928 0.2500 0.5559 x4
Ir: 0.1834 0.7500 0.2743 x4

Largest 12 diffraction maxima, low angle first, 2θ from 10° to 90°:
hkl 2 0 2, 19.5 deg, I 14
hkl 0 1 1, 21.1 deg, I 11
hkl 4 1 1, 30.5 deg, I 46
hkl 2 1 3, 33.3 deg, I 100
hkl 5 1 1, 34.8 deg, I 15
hkl 6 0 2, 36.9 deg, I 44
hkl 0 2 0, 39.5 deg, I 49
hkl 7 0 2, 42.1 deg, I 24
hkl 0 1 5, 45.9 deg, I 16
hkl 4 1 5, 51.4 deg, I 12
hkl 6 2 2, 55.1 deg, I 31
hkl 2 3 3, 67.6 deg, I 13